Structure and theoretical powder XRD pattern of CrCd2TeO6 (a DFT-relaxed cell (GGA+U, Alexandria); copper Kα).

Crystal structure
Unit cell a=5.646 b=5.646 c=4.137 alpha=90.00 beta=90.00 gamma=90.00
Sites, in units of the cell vectors:
1 Cr 0.000 0.000 0.000
2 Cd 0.000 0.500 0.387
3 Cd 0.500 0.000 0.387
4 Te 0.500 0.500 0.991
5 O 0.000 0.000 0.520
6 O 0.251 0.251 0.058
7 O 0.251 0.749 0.058
8 O 0.500 0.500 0.517
9 O 0.749 0.251 0.058
10 O 0.749 0.749 0.058

Top 6 peaks for 5 to 70 degrees two-theta, in order of rising 2θ:
(1 1 1), 2θ 31.13, d = 2.873 Å, rel. 1000
(2 0 0), 2θ 31.70, d = 2.823 Å, rel. 524
(2 2 0), 2θ 45.44, d = 1.996 Å, rel. 337
(1 1 2), 2θ 49.64, d = 1.837 Å, rel. 160
(2 0 2), 2θ 55.04, d = 1.669 Å, rel. 168
(3 1 1), 2θ 56.11, d = 1.639 Å, rel. 366